Starting from DFT lattice parameters and positions (GGA+U), the XRD peak list of KP2WO8 was computed for Cu Kα X-rays.

The 10 most intense peaks (5° ≤ 2θ ≤ 70°), in order of rising 2θ:
d (Å)  2θ (°)  Rel. int.  hkl
8.424  10.50  51.5  0 1 1
5.362  16.53  58.9  0 2 1
5.295  16.74  58.9  0 1 2
3.922  22.67  100.0  1 2 -1
3.736  23.82  70.3  0 1 3
3.240  27.53  19.7  1 2 -3
3.010  29.67  20.0  0 4 0
2.584  34.71  24.5  2 0 -2
2.338  38.51  19.3  2 2 -1
1.961  46.30  21.5  2 4 -2

Atomic structure:
```
KP2WO8
1.0
5.1699 0.0000 0.0000
0.0000 12.0420 0.0000
-4.9044 0.0000 11.7897
K P W O
4 8 4 32
Cartesian
-1.2482 1.5218 5.2926
-3.7004 4.4992 11.1875
3.9658 7.5428 0.6023
1.5136 10.5202 6.4971
-3.6860 0.7906 10.2273
-1.2338 5.2304 4.3324
-3.5814 8.3564 9.9913
-1.1292 9.7066 4.0964
1.3946 2.3354 7.6933
3.8469 3.6856 1.7984
1.4992 6.8116 7.4573
3.9515 11.2514 1.5624
1.2978 1.4233 1.9510
-1.1544 4.5977 7.8458
1.4199 7.4443 3.9439
-1.0323 10.6187 9.8388
-0.3287 2.5653 1.4451
-2.7809 3.4557 7.3400
-3.5365 2.1032 9.3013
-1.0843 3.9178 3.4064
-3.7702 7.0959 10.7646
-1.3179 10.9671 4.8697
-2.2117 6.3522 7.5847
0.2405 11.7108 1.6899
-0.2836 6.3024 3.8101
-2.7358 11.7606 9.7050
-3.3429 1.3126 11.6109
-0.8907 4.7084 5.7161
-2.1320 8.8973 10.0901
0.3203 9.1657 4.1952
1.6348 7.5568 2.2045
-0.8174 10.5062 8.0993
1.0828 1.5358 3.6904
-1.3694 4.4852 9.5853
-0.0548 2.8763 7.5945
2.3974 3.1447 1.6997
1.1561 7.3336 6.0737
3.6083 10.7294 0.1788
3.0012 0.2814 2.0848
0.5490 5.7396 7.9796
0.0249 0.3312 10.0998
2.4772 5.6898 4.2050
1.5834 1.0749 6.9200
4.0356 4.9461 1.0251
1.3498 8.1242 8.3833
3.8020 9.9388 2.4885
3.0464 8.5863 4.4498
0.5942 9.4767 10.3446
```